1.
Diffraction record for Sr3Sn4Rh2. The X-ray powder pattern is calculated, not measured: it uses DFT lattice parameters and positions (PBE) and Cu Kα (λ = 1.5418 Å).

Crystal structure
Cell lengths 12.1572, 4.5673, 9.2853 Å; angles 90.00, 104.65, 90.00 degrees
Space group C2/m (No. 12)
One atom of each set of equivalent atoms:
Sr 0.0000 0.0000 0.0000
Sr 0.1251 0.5000 0.3837
Sn 0.0881 0.0000 0.6593
Sn 0.2010 0.5000 0.0726
Rh 0.1862 0.5000 0.7746

Main lines, low angle first (10 to 90 degrees two-theta):
2θ = 15.8°, intensity 714, (2 0 -1)
2θ = 29.9°, intensity 798, (2 0 -3)
2θ = 30.0°, intensity 1000, (3 1 0)
2θ = 32.8°, intensity 534, (3 1 -2)
2θ = 33.5°, intensity 571, (3 1 1)
2θ = 37.0°, intensity 306, (4 0 -3)
2θ = 38.3°, intensity 934, (1 1 3)
2θ = 39.4°, intensity 873, (0 2 0)
2θ = 43.3°, intensity 221, (5 1 0)
2θ = 50.3°, intensity 364, (2 2 -3)
2θ = 55.2°, intensity 194, (4 2 -3)
2θ = 56.8°, intensity 335, (7 1 -1)


2.
Diffraction record for V2Ni2Hg. The X-ray powder pattern is calculated, not measured: it uses DFT lattice parameters and positions (PBE) and Cu Kα (λ = 1.5418 Å).

Crystal structure
Cell lengths 7.3457, 7.3457, 2.6318 Å; angles 90.00, 90.00, 90.00 degrees
Space group P4/mbm (No. 127)
One atom of each set of equivalent atoms:
V 0.1138 0.3862 0.0000
Ni 0.1743 0.6743 0.5000
Hg 0.0000 0.0000 0.0000

Main lines, low angle first (10 to 90 degrees two-theta):
2θ = 17.1°, intensity 498, (1 1 0)
2θ = 24.2°, intensity 347, (2 0 0)
2θ = 34.5°, intensity 461, (2 2 0)
2θ = 38.3°, intensity 336, (1 1 1)
2θ = 38.8°, intensity 1000, (3 1 0)
2θ = 42.2°, intensity 732, (2 0 1)
2θ = 44.1°, intensity 377, (2 1 1)
2θ = 52.5°, intensity 311, (3 1 1)
2θ = 56.0°, intensity 173, (4 2 0)
2θ = 64.4°, intensity 219, (3 3 1)
2θ = 75.2°, intensity 296, (5 1 1)
2θ = 84.6°, intensity 209, (3 1 2)